Record 1
# V3Cr3W2O16
Simulated PXRD pattern, Cu Kα (λ = 1.5418 Å). Input: a cell relaxed with GGA+U.

Cell and atoms:
Lattice parameters (Å, degrees): 5.980 6.008 9.255 90.03 91.05 119.64
Space group P1 (No. 1)
One atom of each set of equivalent atoms:
V 0.000 0.000 0.000 [1 per cell]
V 0.006 0.492 0.997 [1 per cell]
V 0.175 0.835 0.491 [1 per cell]
Cr 0.496 0.493 0.008 [1 per cell]
Cr 0.663 0.832 0.506 [1 per cell]
Cr 0.664 0.326 0.507 [1 per cell]
W 0.176 0.333 0.721 [1 per cell]
W 0.510 0.002 0.223 [1 per cell]
O 0.013 0.019 0.618 [1 per cell]
O 0.014 0.492 0.618 [1 per cell]
O 0.159 0.337 0.106 [1 per cell]
O 0.191 0.842 0.117 [1 per cell]
O 0.307 0.616 0.875 [1 per cell]
O 0.314 0.194 0.872 [1 per cell]
O 0.354 0.139 0.370 [1 per cell]
O 0.356 0.712 0.370 [1 per cell]
O 0.480 0.988 0.606 [1 per cell]
O 0.490 0.494 0.620 [1 per cell]
O 0.661 0.838 0.120 [1 per cell]
O 0.665 0.315 0.121 [1 per cell]
O 0.783 0.138 0.378 [1 per cell]
O 0.837 0.652 0.915 [1 per cell]
O 0.845 0.669 0.414 [1 per cell]
O 0.882 0.194 0.867 [1 per cell]

Peak list (12 most intense, 2θ from 10° to 80°, sorted by position)
2θ 17.02, intensity 24
2θ 19.42, intensity 100
2θ 19.58, intensity 98
2θ 19.75, intensity 98
2θ 25.55, intensity 24
2θ 25.91, intensity 29
2θ 29.70, intensity 22
2θ 33.62, intensity 30
2θ 33.95, intensity 28
2θ 35.65, intensity 62
2θ 35.87, intensity 41
2θ 36.09, intensity 38

=====

Record 2
# CaLa3Mn4O12
Simulated PXRD pattern, Cu Kα (λ = 1.5418 Å). Input: a cell relaxed with GGA+U.

Cell and atoms:
Lattice parameters (Å, degrees): 11.1532 11.1532 13.4030 90.00 90.00 120.00
Space group R-3c (No. 167, hexagonal axes)
One atom of each set of equivalent atoms:
Ca 0.0000 0.0000 0.2500 [6 per cell]
La 0.0000 0.5004 0.2500 [18 per cell]
Mn 0.0000 0.0000 0.0000 [6 per cell]
Mn 0.0000 0.5000 0.0000 [18 per cell]
O 0.0000 0.2166 0.7500 [18 per cell]
O 0.0000 0.2838 0.2500 [18 per cell]
O 0.0519 0.1686 0.4183 [36 per cell]

Peak list (12 most intense, 2θ from 10° to 80°, sorted by position)
2θ 22.70, intensity 17
2θ 32.10, intensity 96
2θ 32.52, intensity 100
2θ 39.67, intensity 22
2θ 46.35, intensity 63
2θ 57.23, intensity 24
2θ 57.49, intensity 40
2θ 58.29, intensity 18
2θ 67.14, intensity 16
2θ 68.12, intensity 18
2θ 76.61, intensity 15
2θ 77.30, intensity 16

=====

Record 3
# Li4Cr3FeO8
Simulated PXRD pattern, Cu Kα (λ = 1.5418 Å). Input: a cell relaxed with GGA+U.

Cell and atoms:
Lattice parameters (Å, degrees): 5.125 5.883 10.605 73.91 76.19 73.31
Space group P-1 (No. 2)
One atom of each set of equivalent atoms:
Li 0.000 0.189 0.374 [2 per cell]
Li 0.001 0.439 0.874 [2 per cell]
Li 0.002 0.936 0.875 [2 per cell]
Li 0.003 0.686 0.374 [2 per cell]
Cr 0.500 0.000 0.500 [1 per cell]
Cr 0.500 0.125 0.750 [2 per cell]
Cr 0.500 0.252 0.000 [2 per cell]
Cr 0.500 0.500 0.500 [1 per cell]
Fe 0.500 0.375 0.250 [2 per cell]
O 0.273 0.089 0.936 [2 per cell]
O 0.273 0.839 0.435 [2 per cell]
O 0.275 0.340 0.433 [2 per cell]
O 0.275 0.590 0.933 [2 per cell]
O 0.275 0.709 0.187 [2 per cell]
O 0.276 0.216 0.186 [2 per cell]
O 0.276 0.466 0.686 [2 per cell]
O 0.276 0.960 0.687 [2 per cell]

Peak list (12 most intense, 2θ from 10° to 80°, sorted by position)
2θ 18.35, intensity 100
2θ 35.79, intensity 40
2θ 37.19, intensity 4
2θ 37.42, intensity 11
2θ 43.41, intensity 79
2θ 47.50, intensity 13
2θ 57.31, intensity 14
2θ 62.92, intensity 21
2θ 63.22, intensity 22
2θ 66.44, intensity 14
2θ 75.69, intensity 4
2θ 79.81, intensity 10

=====

Record 4
# Na2CoP2O7
Simulated PXRD pattern, Cu Kα (λ = 1.5418 Å). Input: a cell relaxed with GGA+U.

Cell and atoms:
Lattice parameters (Å, degrees): 6.546 9.553 11.069 64.68 85.93 73.43
Space group P1 (No. 1)
One atom of each set of equivalent atoms:
Na 0.000 0.000 0.000 [1 per cell]
Na 0.005 0.382 0.685 [1 per cell]
Na 0.214 0.753 0.301 [1 per cell]
Na 0.391 0.024 0.541 [1 per cell]
Na 0.455 0.364 0.597 [1 per cell]
Na 0.579 0.060 0.173 [1 per cell]
Na 0.646 0.689 0.129 [1 per cell]
Na 0.785 0.730 0.748 [1 per cell]
Co 0.254 0.375 0.916 [1 per cell]
Co 0.331 0.763 0.875 [1 per cell]
Co 0.892 0.980 0.432 [1 per cell]
Co 0.974 0.369 0.391 [1 per cell]
P 0.034 0.172 0.194 [1 per cell]
P 0.191 0.573 0.112 [1 per cell]
P 0.318 0.682 0.614 [1 per cell]
P 0.494 0.321 0.341 [1 per cell]
P 0.533 0.054 0.860 [1 per cell]
P 0.691 0.692 0.442 [1 per cell]
P 0.731 0.421 0.967 [1 per cell]
P 0.910 0.059 0.692 [1 per cell]
O 0.000 0.549 0.197 [1 per cell]
O 0.049 0.939 0.819 [1 per cell]
O 0.055 0.168 0.335 [1 per cell]
O 0.174 0.574 0.973 [1 per cell]
O 0.179 0.805 0.487 [1 per cell]
O 0.226 0.194 0.109 [1 per cell]
O 0.232 0.539 0.700 [1 per cell]
O 0.251 0.727 0.092 [1 per cell]
O 0.306 0.327 0.434 [1 per cell]
O 0.333 0.197 0.836 [1 per cell]
O 0.389 0.762 0.690 [1 per cell]
O 0.394 0.421 0.188 [1 per cell]
O 0.497 0.936 0.809 [1 per cell]
O 0.535 0.597 0.556 [1 per cell]
O 0.570 0.774 0.306 [1 per cell]
O 0.579 0.331 0.956 [1 per cell]
O 0.595 0.149 0.354 [1 per cell]
O 0.627 0.594 0.950 [1 per cell]
O 0.646 0.404 0.363 [1 per cell]
O 0.648 0.973 0.998 [1 per cell]
O 0.696 0.146 0.749 [1 per cell]
O 0.725 0.810 0.494 [1 per cell]
O 0.835 0.328 0.120 [1 per cell]
O 0.838 0.977 0.618 [1 per cell]
O 0.894 0.555 0.460 [1 per cell]
O 0.919 0.414 0.875 [1 per cell]
O 0.970 0.020 0.213 [1 per cell]
O 0.999 0.198 0.601 [1 per cell]

Peak list (12 most intense, 2θ from 10° to 80°, sorted by position)
2θ 10.58, intensity 96
2θ 17.15, intensity 73
2θ 20.04, intensity 56
2θ 22.13, intensity 60
2θ 22.61, intensity 89
2θ 29.59, intensity 100
2θ 30.40, intensity 83
2θ 31.91, intensity 97
2θ 32.43, intensity 62
2θ 32.81, intensity 63
2θ 33.97, intensity 66
2θ 36.22, intensity 56

=====

Record 5
# KAlFe2F2
Simulated PXRD pattern, Cu Kα (λ = 1.5418 Å). Input: a cell relaxed with GGA+U.

Cell and atoms:
Lattice parameters (Å, degrees): 6.467 6.467 6.650 90.00 90.00 90.00
Space group P4/mbm (No. 127)
One atom of each set of equivalent atoms:
K 0.000 0.500 0.000 [2 per cell]
Al 0.000 0.000 0.500 [2 per cell]
Fe 0.147 0.353 0.500 [4 per cell]
F 0.000 0.000 0.222 [4 per cell]

Peak list (12 most intense, 2θ from 10° to 80°, sorted by position)
2θ 13.31, intensity 100
2θ 26.81, intensity 43
2θ 27.59, intensity 21
2θ 30.92, intensity 44
2θ 33.32, intensity 39
2θ 33.80, intensity 69
2θ 39.41, intensity 18
2θ 41.38, intensity 38
2θ 44.29, intensity 16
2θ 46.46, intensity 52
2θ 51.98, intensity 19
2θ 61.72, intensity 29